Entry 1:
Structure and simulated powder diffraction line list of ErAl4Tl (a cell relaxed with PBE; Cu Kα, 1.54184 Å).
No peak broadening, texture or thermal motion is included.

Most intense lines, 10 to 80 degrees two-theta, sorted by position:
- hkl 1 1 1, 2θ = 19.44°, I 691
- hkl 2 2 0, 2θ = 32.00°, I 1000
- hkl 3 1 1, 2θ = 37.72°, I 949
- hkl 3 3 1, 2θ = 50.28°, I 184
- hkl 4 2 2, 2θ = 57.04°, I 395
- hkl 5 1 1, 2θ = 60.86°, I 316
- hkl 4 4 0, 2θ = 66.92°, I 203
- hkl 5 3 1, 2θ = 70.43°, I 136
- hkl 6 2 0, 2θ = 76.11°, I 170
- hkl 5 3 3, 2θ = 79.45°, I 111

```
data_ErAl4Tl
_chemical_formula_sum 'Er4 Al16 Tl4'
_space_group_name_H-M_alt 'F -4 3 m'
_space_group_IT_number 216
_space_group_name_Hall 'F -4 2 3'
_cell_length_a 7.9096
_cell_length_b 7.9096
_cell_length_c 7.9096
_cell_angle_alpha 90.00
_cell_angle_beta 90.00
_cell_angle_gamma 90.00
loop_
_atom_site_label
_atom_site_type_symbol
_atom_site_fract_x
_atom_site_fract_y
_atom_site_fract_z
_atom_site_occupancy
Er1 Er 0.0000 0.0000 0.0000 1
Al1 Al 0.1258 0.1258 0.6258 1
Tl1 Tl 0.2500 0.2500 0.2500 1
```



Entry 2:
Structure and simulated powder diffraction line list of Rb2LiRuO6 (a cell relaxed with PBE; Cu Kα, 1.54184 Å).
No peak broadening, texture or thermal motion is included.

Most intense lines, 10 to 80 degrees two-theta, sorted by position:
- hkl 1 0 0, 2θ = 16.63°, I 155
- hkl 1 0 1, 2θ = 24.26°, I 1000
- hkl 1 1 0, 2θ = 29.00°, I 679
- hkl 0 2 1, 2θ = 38.16°, I 602
- hkl 0 1 2, 2θ = 39.44°, I 253
- hkl 2 1 1, 2θ = 48.63°, I 228
- hkl 2 0 2, 2θ = 49.69°, I 239
- hkl 1 2 2, 2θ = 58.57°, I 249
- hkl 2 2 0, 2θ = 60.11°, I 148
- hkl 1 3 1, 2θ = 65.79°, I 136

```
data_Rb2LiRuO6
_chemical_formula_sum 'Rb2 Li1 Ru1 O6'
_space_group_name_H-M_alt 'P -3 m 1'
_space_group_IT_number 164
_space_group_name_Hall '-P 3 2"'
_cell_length_a 6.1570
_cell_length_b 6.1570
_cell_length_c 5.0574
_cell_angle_alpha 90.00
_cell_angle_beta 90.00
_cell_angle_gamma 120.00
loop_
_atom_site_label
_atom_site_type_symbol
_atom_site_fract_x
_atom_site_fract_y
_atom_site_fract_z
_atom_site_occupancy
Rb1 Rb 0.3333 0.6667 0.2280 1
Li1 Li 0.0000 0.0000 0.0000 1
Ru1 Ru 0.0000 0.0000 0.5000 1
O1 O 0.1421 0.2842 0.7194 1
```



Entry 3:
Structure and simulated powder diffraction line list of Ho2Al5Au (a cell relaxed with PBE; Cu Kα, 1.54184 Å).
No peak broadening, texture or thermal motion is included.

Most intense lines, 10 to 80 degrees two-theta, sorted by position:
- hkl 1 0 1, 2θ = 18.04°, I 367
- hkl 0 0 2, 2θ = 21.02°, I 443
- hkl 2 0 0, 2θ = 29.55°, I 392
- hkl 2 0 2, 2θ = 36.55°, I 1000
- hkl 2 2 0, 2θ = 42.28°, I 333
- hkl 0 0 4, 2θ = 42.79°, I 161
- hkl 2 2 2, 2θ = 47.68°, I 216
- hkl 2 0 4, 2θ = 52.86°, I 160
- hkl 2 2 4, 2θ = 61.72°, I 218
- hkl 4 2 2, 2θ = 73.56°, I 261

```
data_Ho2Al5Au
_chemical_formula_sum 'Ho4 Al10 Au2'
_space_group_name_H-M_alt 'I 4/m m m'
_space_group_IT_number 139
_space_group_name_Hall '-I 4 2'
_cell_length_a 6.0457
_cell_length_b 6.0457
_cell_length_c 8.4536
_cell_angle_alpha 90.00
_cell_angle_beta 90.00
_cell_angle_gamma 90.00
loop_
_atom_site_label
_atom_site_type_symbol
_atom_site_fract_x
_atom_site_fract_y
_atom_site_fract_z
_atom_site_occupancy
Ho1 Ho 0.0000 0.5000 0.0000 1
Al1 Al 0.0000 0.0000 0.0000 1
Al2 Al 0.2500 0.2500 0.2500 1
Au1 Au 0.0000 0.0000 0.5000 1
```



Entry 4:
Structure and simulated powder diffraction line list of U3Pa (a cell relaxed with PBE; Cu Kα, 1.54184 Å).
No peak broadening, texture or thermal motion is included.

Most intense lines, 10 to 80 degrees two-theta, sorted by position:
- hkl 0 0 4, 2θ = 33.64°, I 341
- hkl 0 2 0, 2θ = 33.79°, I 351
- hkl 1 1 2, 2θ = 38.27°, I 1000
- hkl 0 2 4, 2θ = 48.43°, I 252
- hkl 2 0 0, 2θ = 61.51°, I 66
- hkl 1 1 6, 2θ = 63.24°, I 221
- hkl 1 3 2, 2θ = 63.44°, I 238
- hkl 0 0 8, 2θ = 70.72°, I 38
- hkl 0 4 0, 2θ = 71.09°, I 44
- hkl 2 2 0, 2θ = 72.02°, I 166

```
data_U3Pa
_chemical_formula_sum 'U6 Pa2'
_space_group_name_H-M_alt 'I m m m'
_space_group_IT_number 71
_space_group_name_Hall '-I 2 2'
_cell_length_a 3.0150
_cell_length_b 5.3047
_cell_length_c 10.6568
_cell_angle_alpha 90.00
_cell_angle_beta 90.00
_cell_angle_gamma 90.00
loop_
_atom_site_label
_atom_site_type_symbol
_atom_site_fract_x
_atom_site_fract_y
_atom_site_fract_z
_atom_site_occupancy
U1 U 0.0000 0.0000 0.0000 1
U2 U 0.0000 0.5000 0.2613 1
Pa1 Pa 0.0000 0.0000 0.5000 1
```



Entry 5:
Structure and simulated powder diffraction line list of PrTh2Se3 (a cell relaxed with PBE; Cu Kα, 1.54184 Å).
No peak broadening, texture or thermal motion is included.

Most intense lines, 10 to 80 degrees two-theta, sorted by position:
- hkl 1 3 0, 2θ = 25.63°, I 170
- hkl 1 0 2, 2θ = 26.07°, I 163
- hkl 2 0 0, 2θ = 29.94°, I 1000
- hkl 0 6 0, 2θ = 42.29°, I 130
- hkl 2 3 2, 2θ = 42.84°, I 505
- hkl 0 0 4, 2θ = 43.42°, I 121
- hkl 2 6 0, 2θ = 52.66°, I 138
- hkl 2 0 4, 2θ = 53.63°, I 131
- hkl 4 0 0, 2θ = 62.20°, I 126
- hkl 4 3 2, 2θ = 70.54°, I 233

```
data_PrTh2Se3
_chemical_formula_sum 'Pr4 Th8 Se12'
_space_group_name_H-M_alt 'P 1 21/c 1'
_space_group_IT_number 14
_cell_length_a 5.9726
_cell_length_b 12.8236
_cell_length_c 8.3355
_cell_angle_alpha 90.00
_cell_angle_beta 90.01
_cell_angle_gamma 90.00
loop_
_space_group_symop_operation_xyz
'x,y,z'
'-x,-y,-z'
'-x,y+1/2,-z+1/2'
'x,-y+1/2,z+1/2'
loop_
_atom_site_label
_atom_site_type_symbol
_atom_site_fract_x
_atom_site_fract_y
_atom_site_fract_z
_atom_site_occupancy
Pr1 Pr 0.2499 0.0799 0.1263 1
Th1 Th 0.2499 0.0833 0.6230 1
Th2 Th 0.2517 0.7478 0.6244 1
Se1 Se 0.2482 0.2488 0.8746 1
Se2 Se 0.2502 0.5841 0.3709 1
Se3 Se 0.2502 0.5847 0.8777 1
```



Entry 6:
Structure and simulated powder diffraction line list of Li2SbAu4 (a cell relaxed with PBE; Cu Kα, 1.54184 Å).
No peak broadening, texture or thermal motion is included.

Most intense lines, 10 to 80 degrees two-theta, sorted by position:
- hkl 0 2 0, 2θ = 22.56°, I 955
- hkl 0 0 2, 2θ = 30.50°, I 452
- hkl 2 0 -1, 2θ = 30.81°, I 450
- hkl 0 2 2, 2θ = 38.27°, I 1000
- hkl 2 2 -1, 2θ = 38.52°, I 976
- hkl 2 0 1, 2θ = 43.66°, I 340
- hkl 2 0 -3, 2θ = 44.14°, I 327
- hkl 0 4 0, 2θ = 46.06°, I 295
- hkl 2 2 1, 2θ = 49.69°, I 242
- hkl 2 2 -3, 2θ = 50.12°, I 234

```
data_Li2SbAu4
_chemical_formula_sum 'Li4 Sb2 Au8'
_space_group_name_H-M_alt 'C 1 2/m 1'
_space_group_IT_number 12
_cell_length_a 5.8052
_cell_length_b 7.8830
_cell_length_c 6.5146
_cell_angle_alpha 90.00
_cell_angle_beta 115.86
_cell_angle_gamma 90.00
loop_
_space_group_symop_operation_xyz
'x,y,z'
'-x,-y,-z'
'-x,y,-z'
'x,-y,z'
'x+1/2,y+1/2,z'
'-x+1/2,-y+1/2,-z'
'-x+1/2,y+1/2,-z'
'x+1/2,-y+1/2,z'
loop_
_atom_site_label
_atom_site_type_symbol
_atom_site_fract_x
_atom_site_fract_y
_atom_site_fract_z
_atom_site_occupancy
Li1 Li 0.2432 0.0000 0.4832 1
Sb1 Sb 0.0000 0.5000 0.0000 1
Au1 Au 0.1207 0.2484 0.7393 1
```



Entry 7:
Structure and simulated powder diffraction line list of YHoNiRu (a cell relaxed with PBE; Cu Kα, 1.54184 Å).
No peak broadening, texture or thermal motion is included.

Most intense lines, 10 to 80 degrees two-theta, sorted by position:
- hkl 0 0 1, 2θ = 13.10°, I 130
- hkl 1 0 0, 2θ = 26.22°, I 51
- hkl 1 0 1, 2θ = 29.42°, I 60
- hkl 1 1 0, 2θ = 37.42°, I 505
- hkl 1 0 2, 2θ = 37.54°, I 1000
- hkl 2 0 0, 2θ = 53.96°, I 172
- hkl 0 0 4, 2θ = 54.30°, I 84
- hkl 2 1 2, 2θ = 67.59°, I 343
- hkl 1 1 4, 2θ = 67.81°, I 169
- hkl 2 2 0, 2θ = 79.82°, I 53

```
data_YHoNiRu
_chemical_formula_sum 'Y1 Ho1 Ni1 Ru1'
_space_group_name_H-M_alt 'P 4 m m'
_space_group_IT_number 99
_cell_length_a 3.3985
_cell_length_b 3.3985
_cell_length_c 6.7579
_cell_angle_alpha 90.00
_cell_angle_beta 90.00
_cell_angle_gamma 90.00
loop_
_space_group_symop_operation_xyz
'x,y,z'
'-y,x,z'
'-x,-y,z'
'y,-x,z'
'-x,y,z'
'y,x,z'
'x,-y,z'
'-y,-x,z'
loop_
_atom_site_label
_atom_site_type_symbol
_atom_site_fract_x
_atom_site_fract_y
_atom_site_fract_z
_atom_site_occupancy
Y1 Y 0.0000 0.0000 0.0000 1
Ho1 Ho 0.0000 0.0000 0.4968 1
Ni1 Ni 0.5000 0.5000 0.7427 1
Ru1 Ru 0.5000 0.5000 0.2528 1
```



Entry 8:
Structure and simulated powder diffraction line list of AlPb4Au5 (a cell relaxed with PBE; Cu Kα, 1.54184 Å).
No peak broadening, texture or thermal motion is included.

Most intense lines, 10 to 80 degrees two-theta, sorted by position:
- hkl 3 0 1, 2θ = 32.97°, I 1000
- hkl 0 0 2, 2θ = 35.74°, I 176
- hkl 3 2 1, 2θ = 37.97°, I 127
- hkl 3 3 0, 2θ = 39.46°, I 322
- hkl 2 0 2, 2θ = 40.44°, I 92
- hkl 5 0 1, 2θ = 50.48°, I 101
- hkl 3 3 2, 2θ = 54.28°, I 151
- hkl 3 0 3, 2θ = 62.46°, I 118
- hkl 6 3 1, 2θ = 67.47°, I 135
- hkl 5 3 2, 2θ = 67.59°, I 86

```
data_AlPb4Au5
_chemical_formula_sum 'Al2 Pb8 Au10'
_space_group_name_H-M_alt 'I 4 m m'
_space_group_IT_number 107
_space_group_name_Hall 'I 4 -2'
_cell_length_a 9.6894
_cell_length_b 9.6894
_cell_length_c 5.0247
_cell_angle_alpha 90.00
_cell_angle_beta 90.00
_cell_angle_gamma 90.00
loop_
_atom_site_label
_atom_site_type_symbol
_atom_site_fract_x
_atom_site_fract_y
_atom_site_fract_z
_atom_site_occupancy
Al1 Al 0.0000 0.0000 0.0000 1
Pb1 Pb 0.0000 0.2975 0.3004 1
Au1 Au 0.0000 0.0000 0.4932 1
Au2 Au 0.1821 0.1821 0.8106 1
```



Entry 9:
Structure and simulated powder diffraction line list of Li3Ag8Pb2 (a cell relaxed with PBE; Cu Kα, 1.54184 Å).
No peak broadening, texture or thermal motion is included.

Most intense lines, 10 to 80 degrees two-theta, sorted by position:
- hkl 1 0 1, 2θ = 18.89°, I 611
- hkl 1 0 4, 2θ = 21.89°, I 539
- hkl 0 1 8, 2θ = 29.60°, I 348
- hkl 1 1 3, 2θ = 33.78°, I 909
- hkl 1 0 10, 2θ = 34.35°, I 426
- hkl 0 1 11, 2θ = 36.85°, I 841
- hkl 2 0 2, 2θ = 38.31°, I 1000
- hkl 0 2 7, 2θ = 43.12°, I 640
- hkl 1 2 11, 2θ = 61.02°, I 382
- hkl 2 2 0, 2θ = 68.37°, I 346

```
data_Li3Ag8Pb2
_chemical_formula_sum 'Li9 Ag24 Pb6'
_space_group_name_H-M_alt 'R -3 m'
_space_group_IT_number 166
_space_group_name_Hall '-R 3 2"'
_cell_length_a 5.4883
_cell_length_b 5.4883
_cell_length_c 31.2586
_cell_angle_alpha 90.00
_cell_angle_beta 90.00
_cell_angle_gamma 120.00
loop_
_atom_site_label
_atom_site_type_symbol
_atom_site_fract_x
_atom_site_fract_y
_atom_site_fract_z
_atom_site_occupancy
Li1 Li 0.0000 0.0000 0.0000 1
Li2 Li 0.0000 0.0000 0.1826 1
Ag1 Ag 0.0000 0.0000 0.2656 1
Ag2 Ag 0.0013 0.5007 0.7770 1
Pb1 Pb 0.0000 0.0000 0.3589 1
```



Entry 10:
Structure and simulated powder diffraction line list of Tl2ZnP4 (a cell relaxed with PBE; Cu Kα, 1.54184 Å).
No peak broadening, texture or thermal motion is included.

Most intense lines, 10 to 80 degrees two-theta, sorted by position:
- hkl 0 1 1, 2θ = 16.95°, I 286
- hkl 1 1 0, 2θ = 18.00°, I 992
- hkl 0 2 0, 2θ = 23.84°, I 1000
- hkl 0 0 2, 2θ = 24.27°, I 358
- hkl 2 0 -1, 2θ = 29.73°, I 870
- hkl 1 1 -2, 2θ = 30.30°, I 283
- hkl 1 1 2, 2θ = 30.45°, I 958
- hkl 2 0 2, 2θ = 36.90°, I 315
- hkl 1 3 0, 2θ = 38.72°, I 324
- hkl 1 3 2, 2θ = 46.26°, I 370

```
data_Tl2ZnP4
_chemical_formula_sum 'Tl4 Zn2 P8'
_space_group_name_H-M_alt 'P 1 21 1'
_space_group_IT_number 4
_cell_length_a 6.5678
_cell_length_b 7.4637
_cell_length_c 7.3357
_cell_angle_alpha 90.00
_cell_angle_beta 90.39
_cell_angle_gamma 90.00
loop_
_space_group_symop_operation_xyz
'x,y,z'
'-x,y+1/2,-z'
loop_
_atom_site_label
_atom_site_type_symbol
_atom_site_fract_x
_atom_site_fract_y
_atom_site_fract_z
_atom_site_occupancy
Tl1 Tl 0.1251 0.0000 0.0531 1
Tl2 Tl 0.2298 0.0277 0.4754 1
Zn1 Zn 0.3700 0.5256 0.7177 1
P1 P 0.1739 0.4055 0.4776 1
P2 P 0.3276 0.3518 0.9970 1
P3 P 0.3412 0.5239 0.2484 1
P4 P 0.4059 0.8318 0.8165 1
```



Entry 11:
Structure and simulated powder diffraction line list of Dy2Sc5Ni2 (a cell relaxed with PBE; Cu Kα, 1.54184 Å).
No peak broadening, texture or thermal motion is included.

Most intense lines, 10 to 80 degrees two-theta, sorted by position:
- hkl 4 0 0, 2θ = 18.48°, I 515
- hkl 3 1 1, 2θ = 23.75°, I 213
- hkl 2 2 0, 2θ = 28.82°, I 358
- hkl 2 0 2, 2θ = 28.92°, I 351
- hkl 5 1 1, 2θ = 30.26°, I 344
- hkl 4 2 0, 2θ = 33.17°, I 1000
- hkl 7 1 1, 2θ = 38.15°, I 303
- hkl 0 2 2, 2θ = 39.00°, I 338
- hkl 2 2 2, 2θ = 40.16°, I 223
- hkl 9 3 1, 2θ = 62.53°, I 215

```
data_Dy2Sc5Ni2
_chemical_formula_sum 'Dy8 Sc20 Ni8'
_space_group_name_H-M_alt 'C m c e'
_space_group_IT_number 64
_space_group_name_Hall '-C 2ac 2'
_cell_length_a 19.2039
_cell_length_b 6.5455
_cell_length_c 6.5201
_cell_angle_alpha 90.00
_cell_angle_beta 90.00
_cell_angle_gamma 90.00
loop_
_atom_site_label
_atom_site_type_symbol
_atom_site_fract_x
_atom_site_fract_y
_atom_site_fract_z
_atom_site_occupancy
Dy1 Dy 0.2291 0.0000 0.0000 1
Sc1 Sc 0.0000 0.0000 0.0000 1
Sc2 Sc 0.1070 0.1745 0.3276 1
Ni1 Ni 0.0000 0.1268 0.6265 1
```



Entry 12:
Structure and simulated powder diffraction line list of V3P (a cell relaxed with PBE; Cu Kα, 1.54184 Å).
No peak broadening, texture or thermal motion is included.

Most intense lines, 10 to 80 degrees two-theta, sorted by position:
- hkl 3 1 1, 2θ = 35.83°, I 215
- hkl 2 3 1, 2θ = 39.65°, I 1000
- hkl 1 1 2, 2θ = 40.43°, I 709
- hkl 3 3 0, 2θ = 41.01°, I 492
- hkl 2 4 0, 2θ = 43.33°, I 425
- hkl 4 1 1, 2θ = 44.33°, I 755
- hkl 2 2 2, 2θ = 47.21°, I 517
- hkl 5 1 0, 2θ = 49.79°, I 250
- hkl 6 0 2, 2θ = 72.68°, I 161
- hkl 4 1 3, 2θ = 73.02°, I 157

```
data_V3P
_chemical_formula_sum 'V24 P8'
_space_group_name_H-M_alt 'P 42/n'
_space_group_IT_number 86
_cell_length_a 9.3383
_cell_length_b 9.3383
_cell_length_c 4.7404
_cell_angle_alpha 90.00
_cell_angle_beta 90.00
_cell_angle_gamma 90.00
loop_
_space_group_symop_operation_xyz
'x,y,z'
'-x,-y,-z'
'-y,x+1/2,z+1/2'
'y,-x+1/2,-z+1/2'
'-x+1/2,-y+1/2,z'
'x+1/2,y+1/2,-z'
'y+1/2,-x,z+1/2'
'-y+1/2,x,-z+1/2'
loop_
_atom_site_label
_atom_site_type_symbol
_atom_site_fract_x
_atom_site_fract_y
_atom_site_fract_z
_atom_site_occupancy
V1 V 0.0343 0.5552 0.2410 1
V2 V 0.1025 0.2390 0.0137 1
V3 V 0.1576 0.6670 0.7309 1
P1 P 0.0418 0.2285 0.5164 1
```



Entry 13:
Structure and simulated powder diffraction line list of LiReBr6 (a cell relaxed with PBE; Cu Kα, 1.54184 Å).
No peak broadening, texture or thermal motion is included.

Most intense lines, 10 to 80 degrees two-theta, sorted by position:
- hkl 0 2 0, 2θ = 14.39°, I 939
- hkl 1 1 0, 2θ = 15.93°, I 610
- hkl 1 1 -1, 2θ = 17.23°, I 577
- hkl 0 2 1, 2θ = 20.41°, I 285
- hkl 1 3 -1, 2θ = 26.81°, I 248
- hkl 2 0 -2, 2θ = 31.60°, I 452
- hkl 1 3 1, 2θ = 32.58°, I 1000
- hkl 0 6 0, 2θ = 44.11°, I 298
- hkl 3 3 -1, 2θ = 45.74°, I 291
- hkl 1 3 -3, 2θ = 46.32°, I 282

```
data_LiReBr6
_chemical_formula_sum 'Li2 Re2 Br12'
_space_group_name_H-M_alt 'C 1 2/m 1'
_space_group_IT_number 12
_cell_length_a 6.8114
_cell_length_b 12.3285
_cell_length_c 6.7126
_cell_angle_alpha 90.00
_cell_angle_beta 113.74
_cell_angle_gamma 90.00
loop_
_space_group_symop_operation_xyz
'x,y,z'
'-x,-y,-z'
'-x,y,-z'
'x,-y,z'
'x+1/2,y+1/2,z'
'-x+1/2,-y+1/2,-z'
'-x+1/2,y+1/2,-z'
'x+1/2,-y+1/2,z'
loop_
_atom_site_label
_atom_site_type_symbol
_atom_site_fract_x
_atom_site_fract_y
_atom_site_fract_z
_atom_site_occupancy
Li1 Li 0.0000 0.0000 0.0000 1
Re1 Re 0.0000 0.5000 0.5000 1
Br1 Br 0.2161 0.5000 0.2810 1
Br2 Br 0.2388 0.3556 0.7427 1
```